Calculated powder X-ray diffraction pattern of Pm6ScHg5 for Cu Kα, from a structure optimized by DFT (GGA-PBE).
Lines closer than 0.1° are merged.

Top 10 peaks for 2θ = 15–90°, by angle:
32.93°, rel. 23.8, (0 0 3); 33.08°, rel. 100.0, (1 2 1); 33.63°, rel. 24.6, (2 0 -1); 47.19°, rel. 9.4, (0 4 0); 47.78°, rel. 17.0, (2 0 -4); 58.74°, rel. 9.0, (0 4 3); 58.90°, rel. 16.2, (1 2 4); 59.19°, rel. 9.6, (2 4 -1); 59.80°, rel. 18.5, (3 2 0); 69.42°, rel. 10.9, (2 4 -4)

Structural model:
```
data_Pm6ScHg5
_chemical_formula_sum 'Pm6 Sc1 Hg5'
_cell_length_a 5.3295
_cell_length_b 7.7037
_cell_length_c 8.5800
_cell_angle_alpha 90.00
_cell_angle_beta 108.02
_cell_angle_gamma 90.00
_space_group_name_H-M_alt 'P 1 2/m 1'
_space_group_IT_number 10
loop_
_space_group_symop_operation_xyz
'x,y,z'
'-x,-y,-z'
'-x,y,-z'
'x,-y,z'
loop_
_atom_site_label
_atom_site_type_symbol
_atom_site_fract_x
_atom_site_fract_y
_atom_site_fract_z
_atom_site_occupancy
Pm1 Pm 0.0000 0.2353 0.0000 1
Pm2 Pm 0.3296 0.2542 0.6582 1
Sc1 Sc 0.5000 0.5000 0.0000 1
Hg1 Hg 0.1494 0.5000 0.3000 1
Hg2 Hg 0.1656 0.0000 0.3329 1
Hg3 Hg 0.5000 0.0000 0.0000 1
```



Calculated powder X-ray diffraction pattern of PmSc7Hg4 for Cu Kα, from a structure optimized by DFT (GGA-PBE).
Lines closer than 0.1° are merged.

Top 10 peaks for 2θ = 15–90°, by angle:
18.75°, rel. 41.9, (1 1 0); 23.72°, rel. 30.1, (2 0 1); 24.65°, rel. 100.0, (1 1 -2); 29.69°, rel. 28.8, (3 1 0); 30.03°, rel. 38.6, (4 0 -3); 34.23°, rel. 73.0, (0 2 0); 36.03°, rel. 96.3, (2 0 -4); 38.95°, rel. 45.5, (5 1 -3); 39.87°, rel. 47.2, (5 1 -1); 50.55°, rel. 32.7, (2 2 -4)

Structural model:
```
data_PmSc7Hg4
_chemical_formula_sum 'Pm2 Sc14 Hg8'
_cell_length_a 13.3377
_cell_length_b 5.2391
_cell_length_c 10.2031
_cell_angle_alpha 90.00
_cell_angle_beta 124.24
_cell_angle_gamma 90.00
_space_group_name_H-M_alt 'C 1 2/m 1'
_space_group_IT_number 12
loop_
_space_group_symop_operation_xyz
'x,y,z'
'-x,-y,-z'
'-x,y,-z'
'x,-y,z'
'x+1/2,y+1/2,z'
'-x+1/2,-y+1/2,-z'
'-x+1/2,y+1/2,-z'
'x+1/2,-y+1/2,z'
loop_
_atom_site_label
_atom_site_type_symbol
_atom_site_fract_x
_atom_site_fract_y
_atom_site_fract_z
_atom_site_occupancy
Pm1 Pm 0.0000 0.0000 0.0000 1
Sc1 Sc 0.0000 0.5000 0.0000 1
Sc2 Sc 0.0602 0.0000 0.3832 1
Sc3 Sc 0.1927 0.5000 0.6264 1
Sc4 Sc 0.2151 0.0000 0.8743 1
Hg1 Hg 0.0752 0.5000 0.7855 1
Hg2 Hg 0.1900 0.5000 0.3298 1
```